No. 1
Calculated X-ray diffraction stick pattern of Fe21O32 for Cu Ka, from a PBE+U-relaxed structure.
Peak positions follow from Bragg's law for the DFT cell and can differ from measured ones.

Main lines, by intensity (2θ = 15–90°):
Position (°2θ)	Rel. int.
36.0	100
35.7	45
63.1	40
30.7	39
63.8	38
36.1	34
43.7	30
57.8	26
30.3	25
58.0	22
15.2	15
26.4	14

Cell and atoms:
Cell lengths 8.292, 8.292, 8.292 Å; angles 89.39, 89.39, 89.39 degrees
Sites, in units of the cell vectors:
Fe1 0.000 0.000 0.000
Fe2 0.000 0.496 0.504
Fe3 0.001 0.749 0.751
Fe4 0.127 0.135 0.624
Fe5 0.135 0.624 0.127
Fe6 0.249 0.251 0.999
Fe7 0.251 0.999 0.249
Fe8 0.257 0.743 0.500
Fe9 0.374 0.374 0.374
Fe10 0.376 0.865 0.873
Fe11 0.496 0.504 0.000
Fe12 0.500 0.257 0.743
Fe13 0.504 0.000 0.496
Fe14 0.624 0.127 0.135
Fe15 0.626 0.626 0.626
Fe16 0.743 0.500 0.257
Fe17 0.749 0.751 0.001
Fe18 0.751 0.001 0.749
Fe19 0.865 0.873 0.376
Fe20 0.873 0.376 0.865
Fe21 0.999 0.249 0.251
O1 0.006 0.736 0.515
O2 0.008 0.012 0.244
O3 0.008 0.263 0.485
O4 0.012 0.244 0.008
O5 0.230 0.770 0.261
O6 0.230 0.770 0.739
O7 0.235 0.507 0.486
O8 0.236 0.236 0.236
O9 0.244 0.008 0.012
O10 0.261 0.230 0.770
O11 0.263 0.485 0.008
O12 0.264 0.994 0.485
O13 0.485 0.008 0.263
O14 0.485 0.264 0.994
O15 0.486 0.235 0.507
O16 0.493 0.765 0.514
O17 0.507 0.486 0.235
O18 0.514 0.493 0.765
O19 0.515 0.006 0.736
O20 0.515 0.737 0.992
O21 0.736 0.515 0.006
O22 0.737 0.992 0.515
O23 0.739 0.230 0.770
O24 0.756 0.988 0.992
O25 0.764 0.764 0.764
O26 0.765 0.514 0.493
O27 0.770 0.261 0.230
O28 0.770 0.739 0.230
O29 0.988 0.992 0.756
O30 0.992 0.515 0.737
O31 0.992 0.756 0.988
O32 0.994 0.485 0.264


No. 2
Calculated X-ray diffraction stick pattern of Li7Mn5O12 for Cu Ka, from a PBE+U-relaxed structure.
Peak positions follow from Bragg's law for the DFT cell and can differ from measured ones.

Main lines, by intensity (2θ = 15–90°):
Position (°2θ)	Rel. int.
18.3	100
44.3	55
40.8	34
36.4	23
61.8	16
61.9	16
34.1	16
58.4	9
65.0	8
64.0	7
16.8	7
37.4	6

Cell and atoms:
Cell lengths 6.028, 7.804, 9.770 Å; angles 85.54, 84.20, 75.73 degrees
Sites, in units of the cell vectors:
Li1 0.000 0.000 0.000
Li2 0.006 0.505 0.482
Li3 0.157 0.828 0.493
Li4 0.165 0.082 0.240
Li5 0.185 0.340 0.979
Li6 0.325 0.158 0.476
Li7 0.349 0.667 0.983
Li8 0.500 0.499 0.500
Li9 0.506 0.005 0.981
Li10 0.655 0.328 0.994
Li11 0.664 0.582 0.740
Li12 0.686 0.839 0.478
Li13 0.826 0.658 0.976
Li14 0.848 0.167 0.484
Mn1 0.004 0.252 0.734
Mn2 0.012 0.752 0.232
Mn3 0.169 0.582 0.735
Mn4 0.327 0.408 0.240
Mn5 0.342 0.911 0.736
Mn6 0.506 0.753 0.232
Mn7 0.511 0.252 0.732
Mn8 0.669 0.082 0.236
Mn9 0.829 0.908 0.740
Mn10 0.840 0.410 0.237
O1 0.064 0.298 0.359
O2 0.071 0.780 0.853
O3 0.100 0.545 0.120
O4 0.101 0.045 0.620
O5 0.238 0.855 0.128
O6 0.242 0.623 0.352
O7 0.271 0.135 0.840
O8 0.272 0.382 0.618
O9 0.385 0.702 0.629
O10 0.413 0.449 0.848
O11 0.428 0.207 0.122
O12 0.453 0.959 0.341
O13 0.565 0.798 0.859
O14 0.569 0.280 0.353
O15 0.600 0.045 0.620
O16 0.601 0.546 0.120
O17 0.738 0.355 0.628
O18 0.741 0.123 0.852
O19 0.772 0.635 0.340
O20 0.772 0.883 0.119
O21 0.886 0.202 0.128
O22 0.913 0.949 0.348
O23 0.928 0.707 0.621
O24 0.953 0.459 0.840


No. 3
Calculated X-ray diffraction stick pattern of K2RbTbMgV2O8 for Cu Ka, from a PBE+U-relaxed structure.
Peak positions follow from Bragg's law for the DFT cell and can differ from measured ones.

Main lines, by intensity (2θ = 15–90°):
Position (°2θ)	Rel. int.
27.6	100
30.7	89
20.3	44
28.7	44
26.9	38
17.2	37
41.3	31
46.6	25
45.3	23
34.3	21
19.3	19
52.7	17

Cell and atoms:
Cell lengths 6.241, 6.241, 8.286 Å; angles 90.10, 90.10, 55.66 degrees
Sites, in units of the cell vectors:
K1 0.000 0.000 0.000
K2 0.223 0.223 0.524
Rb1 0.638 0.638 0.187
Tb1 0.549 0.549 0.716
Mg1 0.805 0.805 0.754
V1 0.274 0.274 0.964
V2 0.885 0.885 0.469
O1 0.161 0.703 0.613
O2 0.209 0.209 0.155
O3 0.439 0.439 0.941
O4 0.457 0.951 0.850
O5 0.703 0.161 0.613
O6 0.717 0.717 0.534
O7 0.898 0.898 0.265
O8 0.951 0.457 0.850


No. 4
Calculated X-ray diffraction stick pattern of Li4MnFe3P4O16 for Cu Ka, from a PBE+U-relaxed structure.
Peak positions follow from Bragg's law for the DFT cell and can differ from measured ones.

Main lines, by intensity (2θ = 15–90°):
Position (°2θ)	Rel. int.
35.1	100
25.2	89
29.2	76
20.5	59
51.7	36
16.9	31
36.0	30
31.8	29
55.7	24
37.3	21
54.6	19
22.4	18

Cell and atoms:
Cell lengths 12.217, 4.763, 10.481 Å; angles 90.00, 90.00, 90.00 degrees
Sites, in units of the cell vectors:
Li1 0.125 0.250 0.000
Li2 0.125 0.750 0.499
Li3 0.375 0.250 0.999
Li4 0.375 0.750 0.500
Li5 0.625 0.250 0.999
Li6 0.625 0.750 0.500
Li7 0.875 0.250 0.000
Li8 0.875 0.750 0.499
Mn1 0.000 0.227 0.718
Mn2 0.500 0.773 0.218
Fe1 0.000 0.776 0.218
Fe2 0.250 0.275 0.281
Fe3 0.250 0.725 0.781
Fe4 0.500 0.224 0.718
Fe5 0.750 0.275 0.281
Fe6 0.750 0.725 0.781
P1 0.000 0.334 0.404
P2 0.000 0.668 0.907
P3 0.249 0.834 0.094
P4 0.251 0.166 0.594
P5 0.500 0.332 0.407
P6 0.500 0.666 0.904
P7 0.749 0.166 0.594
P8 0.751 0.834 0.094
O1 0.000 0.010 0.403
O2 0.000 0.460 0.541
O3 0.000 0.542 0.044
O4 0.000 0.991 0.904
O5 0.101 0.466 0.334
O6 0.101 0.537 0.836
O7 0.147 0.966 0.164
O8 0.150 0.028 0.664
O9 0.249 0.957 0.956
O10 0.250 0.489 0.597
O11 0.250 0.511 0.097
O12 0.251 0.043 0.456
O13 0.350 0.972 0.164
O14 0.353 0.034 0.664
O15 0.399 0.463 0.336
O16 0.399 0.534 0.834
O17 0.500 0.009 0.404
O18 0.500 0.458 0.544
O19 0.500 0.540 0.041
O20 0.500 0.990 0.903
O21 0.601 0.463 0.336
O22 0.601 0.534 0.834
O23 0.647 0.034 0.664
O24 0.650 0.972 0.164
O25 0.749 0.043 0.456
O26 0.750 0.489 0.597
O27 0.750 0.511 0.097
O28 0.751 0.957 0.956
O29 0.850 0.028 0.664
O30 0.853 0.966 0.164
O31 0.899 0.466 0.334
O32 0.899 0.537 0.836


No. 5
Calculated X-ray diffraction stick pattern of Na2Fe2O5 for Cu Ka, from a PBE+U-relaxed structure.
Peak positions follow from Bragg's law for the DFT cell and can differ from measured ones.

Main lines, by intensity (2θ = 15–90°):
Position (°2θ)	Rel. int.
33.8	100
23.0	77
24.4	54
46.9	50
33.0	50
32.3	38
50.1	26
59.5	18
71.1	17
58.6	16
17.1	16
55.8	14

Cell and atoms:
Cell lengths 5.421, 14.553, 5.535 Å; angles 90.00, 90.00, 90.00 degrees
Sites, in units of the cell vectors:
Na1 0.015 0.108 0.022
Na2 0.015 0.392 0.022
Na3 0.485 0.608 0.522
Na4 0.485 0.892 0.522
Na5 0.515 0.108 0.478
Na6 0.515 0.392 0.478
Na7 0.985 0.608 0.978
Na8 0.985 0.892 0.978
Fe1 0.000 0.000 0.500
Fe2 0.000 0.500 0.500
Fe3 0.049 0.250 0.570
Fe4 0.451 0.750 0.070
Fe5 0.500 0.000 0.000
Fe6 0.500 0.500 0.000
Fe7 0.549 0.250 0.930
Fe8 0.951 0.750 0.430
O1 0.016 0.639 0.556
O2 0.016 0.861 0.556
O3 0.112 0.750 0.131
O4 0.245 0.512 0.242
O5 0.245 0.988 0.242
O6 0.255 0.012 0.742
O7 0.255 0.488 0.742
O8 0.388 0.250 0.631
O9 0.484 0.139 0.056
O10 0.484 0.361 0.056
O11 0.516 0.639 0.944
O12 0.516 0.861 0.944
O13 0.612 0.750 0.369
O14 0.745 0.512 0.258
O15 0.745 0.988 0.258
O16 0.755 0.012 0.758
O17 0.755 0.488 0.758
O18 0.888 0.250 0.869
O19 0.984 0.139 0.444
O20 0.984 0.361 0.444


No. 6
Calculated X-ray diffraction stick pattern of Li3Mn2VO6 for Cu Ka, from a PBE+U-relaxed structure.
Peak positions follow from Bragg's law for the DFT cell and can differ from measured ones.

Main lines, by intensity (2θ = 15–90°):
Position (°2θ)	Rel. int.
17.9	100
44.1	50
39.3	36
36.0	24
33.2	18
60.7	16
60.3	16
36.7	11
45.8	10
57.9	9
78.1	7
64.4	7

Cell and atoms:
Cell lengths 7.190, 7.190, 5.835 Å; angles 102.20, 102.20, 23.21 degrees
Sites, in units of the cell vectors:
Li1 0.000 0.000 0.000
Li2 0.345 0.345 0.677
Li3 0.655 0.655 0.323
Mn1 0.337 0.337 0.165
Mn2 0.663 0.663 0.835
V1 0.000 0.000 0.500
O1 0.156 0.156 0.601
O2 0.168 0.168 0.065
O3 0.497 0.497 0.738
O4 0.503 0.503 0.262
O5 0.832 0.832 0.935
O6 0.844 0.844 0.399


No. 7
Calculated X-ray diffraction stick pattern of Ba5Fe5O14 for Cu Ka, from a PBE+U-relaxed structure.
Peak positions follow from Bragg's law for the DFT cell and can differ from measured ones.

Main lines, by intensity (2θ = 15–90°):
Position (°2θ)	Rel. int.
30.3	100
25.1	63
30.5	59
30.8	49
39.8	47
27.8	30
54.0	20
43.7	16
50.7	15
63.0	13
36.4	13
54.2	12

Cell and atoms:
Cell lengths 5.898, 5.898, 24.715 Å; angles 90.00, 90.00, 120.30 degrees
Sites, in units of the cell vectors:
Ba1 0.034 0.966 0.750
Ba2 0.333 0.667 0.039
Ba3 0.333 0.667 0.461
Ba4 0.345 0.655 0.639
Ba5 0.345 0.655 0.861
Ba6 0.655 0.345 0.139
Ba7 0.655 0.345 0.361
Ba8 0.667 0.333 0.539
Ba9 0.667 0.333 0.961
Ba10 0.966 0.034 0.250
Fe1 0.000 0.000 0.000
Fe2 0.000 0.000 0.500
Fe3 0.011 0.989 0.607
Fe4 0.011 0.989 0.893
Fe5 0.318 0.682 0.178
Fe6 0.318 0.682 0.322
Fe7 0.682 0.318 0.678
Fe8 0.682 0.318 0.822
Fe9 0.989 0.011 0.107
Fe10 0.989 0.011 0.393
O1 0.139 0.861 0.159
O2 0.139 0.861 0.341
O3 0.143 0.349 0.145
O4 0.143 0.349 0.355
O5 0.151 0.292 0.549
O6 0.151 0.292 0.951
O7 0.152 0.848 0.544
O8 0.152 0.848 0.956
O9 0.292 0.151 0.049
O10 0.292 0.151 0.451
O11 0.294 0.706 0.750
O12 0.349 0.143 0.645
O13 0.349 0.143 0.855
O14 0.377 0.623 0.250
O15 0.623 0.377 0.750
O16 0.651 0.857 0.145
O17 0.651 0.857 0.355
O18 0.706 0.294 0.250
O19 0.708 0.849 0.549
O20 0.708 0.849 0.951
O21 0.848 0.152 0.044
O22 0.848 0.152 0.456
O23 0.849 0.708 0.049
O24 0.849 0.708 0.451
O25 0.857 0.651 0.645
O26 0.857 0.651 0.855
O27 0.861 0.139 0.659
O28 0.861 0.139 0.841